(1)
Structure and calculated XRD peak list of Na2Ga2H7 (a GGA-PBE-relaxed structure; Cu Kα).

Most intense lines, 2θ from 10° to 80°, by angle:
- 20.01°, intensity 23.8
- 20.51°, intensity 46.4
- 24.36°, intensity 22.9
- 27.00°, intensity 77.9
- 28.20°, intensity 51.7
- 28.81°, intensity 100.0
- 32.06°, intensity 82.3
- 34.15°, intensity 23.8
- 40.47°, intensity 23.4
- 46.64°, intensity 29.0

Structural model:
```
Na2Ga2H7
1.0
3.8004 -4.3297 0.0000
3.8004 4.3297 0.0000
-1.2720 0.0000 4.4366
Na Ga H
2 2 7
Cartesian
3.8004 2.5140 0.0000
3.8004 -2.5140 0.0000
1.3769 0.0000 2.6297
4.9519 0.0000 1.8068
0.8742 1.3181 3.4381
0.5976 0.0000 1.2239
0.8742 -1.3181 3.4381
3.1644 0.0000 2.2183
5.4546 1.3181 0.9985
5.7312 0.0000 3.2126
5.4546 -1.3181 0.9985
```

---

(2)
Structure and calculated XRD peak list of NaGaH2 (a GGA-PBE-relaxed structure; Cu Kα).

Most intense lines, 2θ from 10° to 80°, by angle:
- 18.61°, intensity 44.8
- 18.97°, intensity 100.0
- 32.31°, intensity 83.1
- 32.37°, intensity 27.6
- 32.75°, intensity 27.8
- 37.74°, intensity 29.1
- 40.49°, intensity 54.7
- 41.02°, intensity 25.5
- 45.51°, intensity 14.8
- 48.99°, intensity 25.0

Structural model:
```
NaGaH2
1.0
4.4001 0.0000 0.0000
0.0000 5.3672 0.0000
-2.1851 -2.6775 4.7672
Na Ga H
2 2 4
Cartesian
0.0000 0.0000 0.0000
0.0148 0.0047 4.7644
0.0085 3.3730 2.3814
2.2086 -0.6930 2.3807
0.0076 2.3190 1.1292
0.0067 2.3241 3.6379
2.2075 0.3608 1.1286
2.2067 0.3565 3.6371
```

---

(3)
Structure and calculated XRD peak list of NaGa2H6 (a GGA-PBE-relaxed structure; Cu Kα).

Most intense lines, 2θ from 10° to 80°, by angle:
- 21.03°, intensity 100.0
- 23.00°, intensity 24.5
- 29.66°, intensity 24.8
- 32.30°, intensity 13.9
- 33.87°, intensity 43.5
- 35.60°, intensity 52.8
- 41.71°, intensity 16.1
- 43.35°, intensity 21.4
- 48.82°, intensity 21.9
- 49.95°, intensity 13.8

Structural model:
```
NaGa2H6
1.0
2.5221 1.4561 5.5437
-2.5221 1.4561 5.5437
0.0000 -2.9123 5.5437
Na Ga H
1 2 6
Cartesian
0.0000 0.0000 0.0000
0.0000 0.0000 4.1650
0.0000 0.0000 6.9444
-0.6956 -1.3987 7.1847
-1.7984 0.0710 9.4844
-0.8635 1.3017 7.1847
0.8378 -1.5929 9.4844
1.5591 0.0970 7.1847
0.9607 1.5220 9.4844
```

---

(4)
Structure and calculated XRD peak list of Na3GaP2H2O9 (a GGA-PBE-relaxed structure; Cu Kα).

Most intense lines, 2θ from 10° to 80°, by angle:
- 11.45°, intensity 100.0
- 12.45°, intensity 68.0
- 17.94°, intensity 49.6
- 27.20°, intensity 45.9
- 27.65°, intensity 51.7
- 28.84°, intensity 39.1
- 32.16°, intensity 34.1
- 33.93°, intensity 54.2
- 35.39°, intensity 64.8
- 60.43°, intensity 29.7

Structural model:
```
Na3GaP2H2O9
1.0
7.7840 -3.6198 0.0000
7.7840 3.6198 0.0000
-0.8359 0.0000 7.1107
Na Ga P H O
6 2 4 4 18
Cartesian
3.4741 1.8099 3.5554
7.7840 1.9143 0.0000
5.8146 0.0000 2.0956
3.4741 -1.8099 3.5554
8.9175 0.0000 5.0151
7.7840 -1.9143 0.0000
3.8920 1.8099 0.0000
3.8920 -1.8099 0.0000
1.2408 0.0000 4.9876
5.2513 0.0000 5.5109
9.4809 0.0000 1.5998
13.4913 0.0000 2.1231
0.5614 0.0000 2.7985
2.7949 0.0000 1.2859
11.9373 0.0000 5.8248
14.1708 0.0000 4.3122
4.9706 2.3337 1.6701
-0.2387 0.0000 5.3930
1.4007 0.0000 3.3877
4.7464 1.2836 6.2871
3.6665 0.0000 0.8456
4.7069 0.0000 4.0777
9.7615 2.3337 5.4406
9.9858 1.2836 0.8236
6.7773 0.0000 5.5784
7.9549 0.0000 1.5323
4.7464 -1.2836 6.2871
4.9706 -2.3337 1.6701
10.0253 0.0000 3.0330
11.0657 0.0000 6.2651
9.9858 -1.2836 0.8236
13.3315 0.0000 3.7230
14.9709 0.0000 1.7177
9.7615 -2.3337 5.4406
```